Entry 1:
The following is a calculated powder X-ray diffraction pattern of Te7O6F30. It was derived from a cell relaxed with GGA-PBE, using Cu Kα (λ = 1.5418 Å).
Peak positions follow from Bragg's law for the DFT cell and can differ from measured ones.

Atomic structure:
Lattice parameters (Å, degrees): 9.1033 9.3129 9.3509 115.44 100.23 99.90
Positions (direct):
Te 0.0000 0.0000 0.0000
Te 0.2262 0.7578 0.7609
Te 0.2417 0.0750 0.3928
Te 0.2487 0.3942 0.0844
Te 0.7513 0.6058 0.9156
Te 0.7583 0.9250 0.6072
Te 0.7738 0.2422 0.2391
O 0.0592 0.2201 0.0168
O 0.1163 0.9251 0.8377
O 0.1885 0.0542 0.1729
O 0.8115 0.9458 0.8271
O 0.8837 0.0749 0.1623
O 0.9408 0.7799 0.9832
F 0.0456 0.5851 0.6860
F 0.0562 0.9212 0.3499
F 0.1312 0.5452 0.1403
F 0.1505 0.2476 0.4756
F 0.1800 0.7561 0.5575
F 0.2054 0.3701 0.8712
F 0.2752 0.7559 0.9628
F 0.2969 0.4271 0.3010
F 0.3037 0.0994 0.6050
F 0.3340 0.6011 0.6799
F 0.3371 0.9049 0.3192
F 0.3697 0.2461 0.0289
F 0.4093 0.9251 0.8303
F 0.4246 0.5677 0.1472
F 0.4288 0.2273 0.4386
F 0.5712 0.7727 0.5614
F 0.5754 0.4323 0.8528
F 0.5907 0.0749 0.1697
F 0.6303 0.7539 0.9711
F 0.6629 0.0951 0.6808
F 0.6660 0.3989 0.3201
F 0.6963 0.9006 0.3950
F 0.7031 0.5729 0.6990
F 0.7248 0.2441 0.0372
F 0.7946 0.6299 0.1288
F 0.8200 0.2439 0.4425
F 0.8495 0.7524 0.5244
F 0.8688 0.4548 0.8597
F 0.9438 0.0788 0.6501
F 0.9544 0.4149 0.3140

Most intense lines, 10 to 90 degrees two-theta, low angle first:
10.94 deg, d = 8.088 Å, I = 19
18.84 deg, d = 4.710 Å, I = 48
20.42 deg, d = 4.350 Å, I = 76
20.65 deg, d = 4.301 Å, I = 37
22.99 deg, d = 3.868 Å, I = 51
23.37 deg, d = 3.807 Å, I = 100
31.81 deg, d = 2.813 Å, I = 15
31.94 deg, d = 2.802 Å, I = 16
39.18 deg, d = 2.299 Å, I = 15
39.61 deg, d = 2.276 Å, I = 16

Entry 2:
The following is a calculated powder X-ray diffraction pattern of Hf9Mo4Se. It was derived from a cell relaxed with GGA-PBE, using Cu Kα (λ = 1.5418 Å).
Peak positions follow from Bragg's law for the DFT cell and can differ from measured ones.

Atomic structure:
Lattice parameters (Å, degrees): 8.7360 8.7360 8.6312 90.00 90.00 120.00
Positions (direct):
Hf 0.0815 0.5407 0.2500
Hf 0.1950 0.3900 0.5448
Hf 0.1950 0.3900 0.9552
Hf 0.1950 0.8050 0.5448
Hf 0.1950 0.8050 0.9552
Hf 0.3900 0.1950 0.0448
Hf 0.3900 0.1950 0.4552
Hf 0.4593 0.5407 0.2500
Hf 0.4593 0.9185 0.2500
Hf 0.5407 0.0815 0.7500
Hf 0.5407 0.4593 0.7500
Hf 0.6100 0.8050 0.5448
Hf 0.6100 0.8050 0.9552
Hf 0.8050 0.1950 0.0448
Hf 0.8050 0.1950 0.4552
Hf 0.8050 0.6100 0.0448
Hf 0.8050 0.6100 0.4552
Hf 0.9185 0.4593 0.7500
Mo 0.0000 0.0000 0.0000
Mo 0.0000 0.0000 0.5000
Mo 0.1102 0.2204 0.2500
Mo 0.1102 0.8898 0.2500
Mo 0.2204 0.1102 0.7500
Mo 0.7796 0.8898 0.2500
Mo 0.8898 0.1102 0.7500
Mo 0.8898 0.7796 0.7500
Se 0.3333 0.6667 0.7500
Se 0.6667 0.3333 0.2500

Most intense lines, 10 to 90 degrees two-theta, low angle first:
31.45 deg, d = 2.845 Å, I = 44
33.32 deg, d = 2.689 Å, I = 22
37.14 deg, d = 2.421 Å, I = 57
37.74 deg, d = 2.384 Å, I = 100
39.35 deg, d = 2.290 Å, I = 41
41.34 deg, d = 2.184 Å, I = 31
41.87 deg, d = 2.158 Å, I = 19
62.49 deg, d = 1.486 Å, I = 26
65.35 deg, d = 1.428 Å, I = 28
65.53 deg, d = 1.424 Å, I = 26

Entry 3:
The following is a calculated powder X-ray diffraction pattern of Sc11Ga9. It was derived from a cell relaxed with GGA-PBE, using Cu Kα (λ = 1.5418 Å).
Peak positions follow from Bragg's law for the DFT cell and can differ from measured ones.

Atomic structure:
Lattice parameters (Å, degrees): 10.7267 10.3493 10.3282 62.50 58.85 58.65
Positions (direct):
Sc 0.0000 0.0000 0.0000
Sc 0.0104 0.0844 0.6376
Sc 0.0844 0.0104 0.2676
Sc 0.0895 0.5999 0.1352
Sc 0.2382 0.7248 0.5374
Sc 0.2443 0.3089 0.4067
Sc 0.3089 0.2443 0.0401
Sc 0.3276 0.3276 0.6724
Sc 0.3624 0.7324 0.9896
Sc 0.4626 0.5004 0.7618
Sc 0.4857 0.8417 0.5143
Sc 0.4946 0.8405 0.1595
Sc 0.5004 0.4626 0.2752
Sc 0.5933 0.9599 0.7557
Sc 0.5999 0.0895 0.1754
Sc 0.7248 0.2382 0.4996
Sc 0.7324 0.3624 0.9156
Sc 0.8246 0.8648 0.4001
Sc 0.8405 0.4946 0.5054
Sc 0.8417 0.4857 0.1583
Sc 0.8648 0.8246 0.9105
Sc 0.9599 0.5933 0.6911
Ga 0.0390 0.2849 0.3286
Ga 0.0387 0.2869 0.7131
Ga 0.0417 0.2856 0.9583
Ga 0.1316 0.5326 0.8684
Ga 0.1586 0.6557 0.3443
Ga 0.1981 0.7955 0.8019
Ga 0.2849 0.0390 0.3476
Ga 0.2856 0.0417 0.7144
Ga 0.2869 0.0387 0.9613
Ga 0.4131 0.4131 0.0869
Ga 0.5326 0.1316 0.4674
Ga 0.5652 0.5652 0.4348
Ga 0.6524 0.6714 0.7151
Ga 0.6557 0.1586 0.8414
Ga 0.6714 0.6524 0.9610
Ga 0.7637 0.7637 0.2363
Ga 0.7955 0.1981 0.2045
Ga 0.9131 0.9131 0.5869

Most intense lines, 10 to 90 degrees two-theta, low angle first:
26.60 deg, d = 3.351 Å, I = 17
34.82 deg, d = 2.577 Å, I = 29
35.08 deg, d = 2.558 Å, I = 60
35.74 deg, d = 2.512 Å, I = 29
36.83 deg, d = 2.440 Å, I = 100
37.06 deg, d = 2.426 Å, I = 30
37.56 deg, d = 2.395 Å, I = 21
39.63 deg, d = 2.274 Å, I = 40
44.37 deg, d = 2.042 Å, I = 18
47.65 deg, d = 1.908 Å, I = 17

Entry 4:
The following is a calculated powder X-ray diffraction pattern of Mg6CuBiO8. It was derived from a cell relaxed with GGA-PBE, using Cu Kα (λ = 1.5418 Å).
Peak positions follow from Bragg's law for the DFT cell and can differ from measured ones.

Atomic structure:
Lattice parameters (Å, degrees): 4.4527 4.4527 8.9640 90.00 90.00 90.00
Positions (direct):
Mg 0.0000 0.0000 0.0000
Mg 0.0000 0.5000 0.2347
Mg 0.0000 0.5000 0.7653
Mg 0.5000 0.0000 0.2347
Mg 0.5000 0.0000 0.7653
Mg 0.5000 0.5000 0.0000
Cu 0.0000 0.0000 0.5000
Bi 0.5000 0.5000 0.5000
O 0.0000 0.0000 0.2292
O 0.0000 0.0000 0.7708
O 0.0000 0.5000 0.0000
O 0.0000 0.5000 0.5000
O 0.5000 0.0000 0.0000
O 0.5000 0.0000 0.5000
O 0.5000 0.5000 0.2311
O 0.5000 0.5000 0.7689

Most intense lines, 10 to 90 degrees two-theta, low angle first:
19.81 deg, d = 4.482 Å, I = 50
19.94 deg, d = 4.453 Å, I = 35
22.29 deg, d = 3.988 Å, I = 55
28.31 deg, d = 3.153 Å, I = 72
30.08 deg, d = 2.971 Å, I = 73
34.82 deg, d = 2.576 Å, I = 86
40.24 deg, d = 2.241 Å, I = 48
40.52 deg, d = 2.226 Å, I = 100
45.51 deg, d = 1.993 Å, I = 34
58.43 deg, d = 1.579 Å, I = 59